Starting from a DFT-relaxed cell (PBE, Alexandria), the PXRD pattern of PmSc4In4 was calculated for Cu Ka.
Kinematic intensities with the Lorentz-polarization factor, no thermal factor.

The 10 most intense peaks (2θ = 10–90°), low angle first:
| two_theta | I (rel.) |
| --- | --- |
| 25.38 | 46.0 |
| 27.43 | 87.1 |
| 29.41 | 46.3 |
| 30.42 | 100.0 |
| 37.04 | 34.2 |
| 37.30 | 83.4 |
| 37.76 | 32.9 |
| 41.22 | 47.1 |
| 47.98 | 25.8 |
| 53.39 | 27.7 |

Cell and atoms:
Cell: 6.864 6.864 10.161 Å, 90.00 90.00 90.00°
Fractional positions:
Pm (0.250, 0.750, 0.250)
Pm (0.750, 0.250, 0.750)
Sc (0.017, 0.250, 0.166)
Sc (0.250, 0.017, 0.666)
Sc (0.250, 0.483, 0.666)
Sc (0.483, 0.250, 0.166)
Sc (0.517, 0.750, 0.834)
Sc (0.750, 0.517, 0.334)
Sc (0.750, 0.983, 0.334)
Sc (0.983, 0.750, 0.834)
In (0.034, 0.250, 0.460)
In (0.250, 0.034, 0.960)
In (0.250, 0.466, 0.960)
In (0.466, 0.250, 0.460)
In (0.534, 0.750, 0.540)
In (0.750, 0.534, 0.040)
In (0.750, 0.966, 0.040)
In (0.966, 0.750, 0.540)

---

Starting from a DFT-relaxed cell (PBE, Alexandria), the PXRD pattern of PmMg3In was calculated for Cu Ka.
Kinematic intensities with the Lorentz-polarization factor, no thermal factor.

The 10 most intense peaks (2θ = 10–90°), low angle first:
| two_theta | I (rel.) |
| --- | --- |
| 12.43 | 70.9 |
| 18.69 | 15.6 |
| 23.55 | 18.0 |
| 30.03 | 17.0 |
| 30.55 | 16.5 |
| 31.35 | 100.0 |
| 33.41 | 29.9 |
| 34.89 | 16.4 |
| 35.59 | 25.8 |
| 37.30 | 28.1 |

Cell and atoms:
Cell: 14.468 14.468 3.716 Å, 90.00 90.00 159.92°
Fractional positions:
Pm (0.165, 0.835, 0.000)
Pm (0.835, 0.165, 0.000)
Mg (0.059, 0.941, 0.500)
Mg (0.272, 0.728, 0.500)
Mg (0.450, 0.550, 0.000)
Mg (0.550, 0.450, 0.000)
Mg (0.728, 0.272, 0.500)
Mg (0.941, 0.059, 0.500)
In (0.372, 0.628, 0.500)
In (0.628, 0.372, 0.500)

---

Starting from a DFT-relaxed cell (PBE, Alexandria), the PXRD pattern of Zr5CN2 was calculated for Cu Ka.
Kinematic intensities with the Lorentz-polarization factor, no thermal factor.

The 10 most intense peaks (2θ = 10–90°), low angle first:
| two_theta | I (rel.) |
| --- | --- |
| 31.55 | 17.2 |
| 31.85 | 9.2 |
| 32.38 | 25.6 |
| 35.58 | 29.7 |
| 35.85 | 100.0 |
| 45.84 | 13.1 |
| 46.06 | 8.9 |
| 56.37 | 14.6 |
| 60.03 | 10.5 |
| 66.53 | 14.5 |

Cell and atoms:
Cell: 8.602 5.529 11.243 Å, 90.00 108.45 90.00°
Fractional positions:
Zr (0.006, 0.236, 0.164)
Zr (0.006, 0.264, 0.664)
Zr (0.195, 0.734, 0.136)
Zr (0.195, 0.766, 0.636)
Zr (0.222, 0.222, 0.478)
Zr (0.222, 0.278, 0.978)
Zr (0.383, 0.676, 0.420)
Zr (0.383, 0.824, 0.920)
Zr (0.415, 0.192, 0.286)
Zr (0.415, 0.308, 0.786)
Zr (0.585, 0.692, 0.214)
Zr (0.585, 0.808, 0.714)
Zr (0.617, 0.176, 0.080)
Zr (0.617, 0.324, 0.580)
Zr (0.778, 0.722, 0.022)
Zr (0.778, 0.778, 0.522)
Zr (0.805, 0.234, 0.364)
Zr (0.805, 0.266, 0.864)
Zr (0.994, 0.736, 0.336)
Zr (0.994, 0.764, 0.836)
C (0.000, 0.000, 0.500)
C (0.000, 0.500, 0.000)
C (0.500, 0.000, 0.500)
C (0.500, 0.500, 0.000)
N (0.188, 0.052, 0.798)
N (0.188, 0.448, 0.298)
N (0.398, 0.513, 0.604)
N (0.398, 0.987, 0.104)
N (0.602, 0.013, 0.896)
N (0.602, 0.487, 0.396)
N (0.812, 0.552, 0.702)
N (0.812, 0.948, 0.202)